Entry 1:
Simulated powder X-ray diffraction pattern of YTm2Sc8 for Cu Kα, 1.54184 Å, from DFT lattice parameters and positions (PBE).

Most intense lines, 10 to 80 degrees two-theta, low angle first:
2θ = 11.03°, 8.019 Å, intensity 336, (0 2 0); 2θ = 23.69°, 3.755 Å, intensity 766, (0 2 1); 2θ = 26.44°, 3.371 Å, intensity 422, (2 0 0); 2θ = 31.66°, 2.826 Å, intensity 747, (3 1 -1); 2θ = 32.35°, 2.767 Å, intensity 1000, (1 5 -1); 2θ = 32.72°, 2.737 Å, intensity 474, (2 0 -2); 2θ = 34.77°, 2.580 Å, intensity 359, (2 4 0); 2θ = 35.49°, 2.529 Å, intensity 690, (1 3 1); 2θ = 39.32°, 2.291 Å, intensity 485, (3 3 -2); 2θ = 42.25°, 2.139 Å, intensity 406, (3 5 -1)

Crystal structure
a = 8.6804 Å, b = 16.0378 Å, c = 5.4736 Å
α = 90.00°, β = 129.03°, γ = 90.00°
Space group C2/m (No. 12)
Symmetry-distinct sites (fractional):
Y: 0.0000 0.0000 0.0000 (multiplicity 2)
Tm: 0.0000 0.3101 0.5000 (multiplicity 4)
Sc: 0.0000 0.2029 0.0000 (multiplicity 4)
Sc: 0.0013 0.5000 0.7434 (multiplicity 4)
Sc: 0.2264 0.1292 0.7259 (multiplicity 8)


Entry 2:
Simulated powder X-ray diffraction pattern of Y2Tm7Sc3 for Cu Kα, 1.54184 Å, from DFT lattice parameters and positions (PBE).

Most intense lines, 10 to 80 degrees two-theta, low angle first:
2θ = 14.51°, 6.104 Å, intensity 356, (0 6 0); 2θ = 29.26°, 3.052 Å, intensity 218, (0 12 0); 2θ = 31.39°, 2.850 Å, intensity 252, (1 11 0); 2θ = 32.29°, 2.772 Å, intensity 288, (0 8 1); 2θ = 32.50°, 2.755 Å, intensity 568, (2 0 0); 2θ = 32.79°, 2.732 Å, intensity 1000, (1 5 1); 2θ = 34.97°, 2.566 Å, intensity 378, (1 7 1); 2θ = 35.79°, 2.509 Å, intensity 380, (1 13 0); 2θ = 46.47°, 1.954 Å, intensity 210, (2 8 1); 2θ = 52.59°, 1.740 Å, intensity 247, (0 0 2)

Crystal structure
a = 5.5096 Å, b = 36.6265 Å, c = 3.4830 Å
α = 90.00°, β = 90.00°, γ = 90.00°
Space group Cmmm (No. 65)
Symmetry-distinct sites (fractional):
Y: 0.0000 0.1486 0.0000 (multiplicity 4)
Tm: 0.0000 0.0000 0.0000 (multiplicity 2)
Tm: 0.0000 0.0711 0.5000 (multiplicity 4)
Tm: 0.0000 0.2318 0.0000 (multiplicity 4)
Tm: 0.0000 0.4090 0.0000 (multiplicity 4)
Sc: 0.0000 0.3133 0.5000 (multiplicity 4)
Sc: 0.0000 0.5000 0.5000 (multiplicity 2)


Entry 3:
Simulated powder X-ray diffraction pattern of Y4Tm3Sc for Cu Kα, 1.54184 Å, from DFT lattice parameters and positions (PBE).

Most intense lines, 10 to 80 degrees two-theta, low angle first:
2θ = 28.81°, 3.099 Å, intensity 253, (0 2 1); 2θ = 32.30°, 2.772 Å, intensity 237, (4 0 0); 2θ = 33.12°, 2.705 Å, intensity 1000, (2 0 2); 2θ = 43.82°, 2.066 Å, intensity 173, (4 2 1); 2θ = 50.97°, 1.792 Å, intensity 68, (0 4 0); 2θ = 51.10°, 1.787 Å, intensity 128, (0 2 3); 2θ = 58.13°, 1.587 Å, intensity 195, (6 0 2); 2θ = 61.64°, 1.505 Å, intensity 74, (4 4 0); 2θ = 61.76°, 1.502 Å, intensity 144, (4 2 3); 2θ = 62.17°, 1.493 Å, intensity 105, (2 4 2)

Crystal structure
a = 11.0865 Å, b = 7.1676 Å, c = 6.1867 Å
α = 90.00°, β = 90.00°, γ = 90.00°
Space group Pmn2_1 (No. 31)
Symmetry-distinct sites (fractional):
Y: 0.0000 0.1294 0.0000 (multiplicity 2)
Y: 0.0000 0.8713 0.4946 (multiplicity 2)
Y: 0.2467 0.8707 0.8367 (multiplicity 4)
Tm: 0.0000 0.3789 0.5001 (multiplicity 2)
Tm: 0.2495 0.3794 0.8295 (multiplicity 4)
Sc: 0.0000 0.6211 0.9998 (multiplicity 2)